Diffraction record for La3Ni2B2S3. The powder XRD pattern is theoretical, not measured: it uses a GGA-PBE-relaxed structure and Cu Kα (weighted mean of Kα1 and Kα2).
No peak broadening, texture or thermal motion is included.

Structural model:
```
data_La3Ni2B2S3
_symmetry_space_group_name_H-M 'I 4/m m m'
_symmetry_Int_Tables_number 139
_symmetry_space_group_name_Hall '-I 4 2'
_cell_length_a 3.9241
_cell_length_b 3.9241
_cell_length_c 25.7060
_cell_angle_alpha 90.00
_cell_angle_beta 90.00
_cell_angle_gamma 90.00
loop_
_atom_site_label
_atom_site_fract_x
_atom_site_fract_y
_atom_site_fract_z
La1 0.0000 0.0000 0.0000
La2 0.0000 0.0000 0.3478
Ni1 0.0000 0.5000 0.2500
B1 0.0000 0.0000 0.2278
S1 0.0000 0.0000 0.1130
S2 0.0000 0.0000 0.5000
```

Principal peaks in the range 5 to 70 degrees two-theta, by intensity:
d/Å	I/Imax	h k l
3.568	100	1 0 3
2.329	75	1 1 6
2.309	41	1 0 9
2.775	39	1 1 0
1.962	39	2 0 0
3.213	33	0 0 8